Record 1
# La4SmDy3
Theoretical powder X-ray diffraction pattern, Cu Kα (weighted mean of Kα1 and Kα2). Input: the GGA-PBE geometry in Alexandria.

Structure:
```
data_La4SmDy3
_cell_length_a 5.1679
_cell_length_b 10.3378
_cell_length_c 10.3298
_cell_angle_alpha 90.00
_cell_angle_beta 90.00
_cell_angle_gamma 90.00
_symmetry_space_group_name_H-M 'P 1'
_symmetry_Int_Tables_number 1
loop_
_symmetry_equiv_pos_as_xyz
'x,y,z'
loop_
_atom_site_label
_atom_site_fract_x
_atom_site_fract_y
_atom_site_fract_z
La1 0.2500 0.9999 0.1280
La2 0.2500 0.2500 0.8707
La3 0.2500 0.5001 0.1280
La4 0.2500 0.7500 0.8722
La5 0.7500 0.0001 0.8720
La6 0.7500 0.2500 0.1278
La7 0.7500 0.4999 0.8720
La8 0.7500 0.7500 0.1293
Sm1 0.2500 0.2500 0.3827
Sm2 0.7500 0.7500 0.6173
Dy1 0.2500 0.0000 0.6173
Dy2 0.2500 0.5000 0.6173
Dy3 0.2500 0.7500 0.3818
Dy4 0.7500 0.0000 0.3827
Dy5 0.7500 0.2500 0.6182
Dy6 0.7500 0.5000 0.3827
```

Largest 10 diffraction maxima, sorted by position, 2θ = 10–90°:
(1 2 2), 2θ 29.95, intensity 100
(2 0 0), 2θ 34.72, intensity 51
(1 2 3), 2θ 35.83, intensity 1
(2 4 0), 2θ 49.92, intensity 36
(3 2 2), 2θ 59.32, intensity 43
(2 4 4), 2θ 62.24, intensity 12
(4 0 0), 2θ 73.28, intensity 6
(3 6 2), 2θ 81.13, intensity 17
(4 4 0), 2θ 83.70, intensity 16
(3 2 7), 2θ 89.48, intensity 1


Record 2
# CoNiPt2Rh2
Theoretical powder X-ray diffraction pattern, Cu Kα (weighted mean of Kα1 and Kα2). Input: the GGA-PBE geometry in Alexandria.

Structure:
```
data_CoNiPt2Rh2
_cell_length_a 5.3198
_cell_length_b 7.3517
_cell_length_c 4.4797
_cell_angle_alpha 90.00
_cell_angle_beta 90.00
_cell_angle_gamma 90.00
_symmetry_space_group_name_H-M 'P 1'
_symmetry_Int_Tables_number 1
loop_
_symmetry_equiv_pos_as_xyz
'x,y,z'
loop_
_atom_site_label
_atom_site_fract_x
_atom_site_fract_y
_atom_site_fract_z
Co1 0.0000 0.0000 0.0000
Co2 0.5000 0.5000 0.5000
Ni1 0.0000 0.5000 0.5000
Ni2 0.5000 0.0000 0.0000
Pt1 0.1340 0.3396 0.0000
Pt2 0.3660 0.8396 0.5000
Pt3 0.6340 0.1604 0.5000
Pt4 0.8660 0.6604 0.0000
Rh1 0.1361 0.1544 0.5000
Rh2 0.3639 0.6544 0.0000
Rh3 0.6361 0.3456 0.0000
Rh4 0.8639 0.8456 0.5000
```

Largest 10 diffraction maxima, sorted by position, 2θ = 10–90°:
(0 1 1), 2θ 23.25, intensity 35
(2 1 0), 2θ 35.90, intensity 77
(0 0 2), 2θ 40.26, intensity 58
(0 3 1), 2θ 42.03, intensity 100
(2 2 1), 2θ 46.78, intensity 84
(2 1 2), 2θ 55.03, intensity 44
(2 4 1), 2θ 65.11, intensity 21
(0 3 3), 2θ 74.40, intensity 18
(2 2 3), 2θ 77.82, intensity 19
(2 5 2), 2θ 87.41, intensity 16


Record 3
# Sr4LiSm2Ta2O12
Theoretical powder X-ray diffraction pattern, Cu Kα (weighted mean of Kα1 and Kα2). Input: the GGA-PBE geometry in Alexandria.

Structure:
```
data_Sr4LiSm2Ta2O12
_cell_length_a 5.8197
_cell_length_b 6.1815
_cell_length_c 8.4392
_cell_angle_alpha 88.31
_cell_angle_beta 89.15
_cell_angle_gamma 89.25
_symmetry_space_group_name_H-M 'P 1'
_symmetry_Int_Tables_number 1
loop_
_symmetry_equiv_pos_as_xyz
'x,y,z'
loop_
_atom_site_label
_atom_site_fract_x
_atom_site_fract_y
_atom_site_fract_z
Sr1 0.0000 0.0000 0.0000
Sr2 0.0454 0.1597 0.5301
Sr3 0.4787 0.6119 0.4962
Sr4 0.5342 0.5023 0.9884
Li1 0.8775 0.8380 0.3937
Sm1 0.0160 0.5209 0.2296
Sm2 0.5229 0.0608 0.7473
Ta1 0.0163 0.5752 0.7472
Ta2 0.5012 0.0513 0.2471
O1 0.1134 0.5872 0.9755
O2 0.2055 0.8426 0.6967
O3 0.2149 0.8712 0.2995
O4 0.2966 0.3758 0.7038
O5 0.3293 0.3216 0.3097
O6 0.4223 0.0861 0.0184
O7 0.6296 0.0123 0.4767
O8 0.7015 0.7756 0.2068
O9 0.7422 0.7583 0.8018
O10 0.7838 0.2399 0.1943
O11 0.8300 0.2965 0.7911
O12 0.9288 0.5586 0.5086
```

Largest 10 diffraction maxima, sorted by position, 2θ = 10–90°:
(1 1 0), 2θ 20.84, intensity 44
(1 -1 0), 2θ 21.09, intensity 73
(0 2 0), 2θ 28.90, intensity 84
(1 1 2), 2θ 29.33, intensity 89
(-1 1 2), 2θ 29.85, intensity 89
(1 -1 2), 2θ 30.14, intensity 100
(1 1 -2), 2θ 30.27, intensity 98
(2 0 0), 2θ 30.73, intensity 88
(0 0 4), 2θ 42.89, intensity 52
(3 1 -2), 2θ 54.42, intensity 44